This entry pairs a crystal structure of TbCrO5 with its computed powder diffraction line list. Radiation: Cu Kα (weighted mean of Kα1 and Kα2). Structure: a crystal structure in the Materials Project, relaxed with GGA+U.
Neutral-atom scattering factors, no anomalous dispersion.

Largest 12 diffraction maxima, in order of rising 2θ, 2θ = 5–70°:
d_spacing	2θ/deg	I_rel	hkl
6.766	13.08	40	0 1 1
4.752	18.67	96	0 2 1
3.928	22.64	28	0 1 2
3.541	25.15	48	2 1 -1
3.506	25.40	100	2 1 -3
3.385	26.33	36	0 2 2
3.130	28.52	44	2 2 -1
2.831	31.61	44	0 3 2
2.818	31.76	40	2 3 -2
2.731	32.80	31	0 4 1
2.707	33.09	39	0 1 3
1.811	50.40	26	2 4 1

Structural model:
```
TbCrO5
1.0
8.2638 0.0000 0.0000
0.0000 11.5578 0.0000
-8.1514 0.0000 8.3531
Tb Cr O
8 8 40
Cartesian
-1.0605 0.6916 2.7853
-5.1362 5.0873 6.9618
0.5962 6.6756 1.4933
-3.4795 10.6611 5.6699
3.5918 0.8967 2.6832
-0.4839 4.8822 6.8598
5.2486 6.4705 1.3913
1.1729 10.8662 5.5678
1.1321 2.0031 0.0036
-2.9436 3.7758 4.1801
-1.0855 7.9718 4.5395
2.9902 9.3649 0.3629
-2.8778 2.1929 7.9902
1.1979 3.5860 3.8137
3.0560 7.7820 4.1730
-1.0197 9.5547 8.3495
-4.8549 6.7739 5.4402
-0.7792 10.5628 1.2636
-6.9733 6.2554 7.6828
-2.8976 11.0813 3.5062
-2.7897 2.1757 3.6291
-6.8655 3.6032 7.8057
-0.0238 1.9368 1.1682
-4.0995 3.8421 5.3448
-1.2626 7.1662 3.0545
-5.3383 10.1705 7.2311
-2.5252 8.5615 5.0678
1.5505 8.7752 0.8913
2.5435 1.5212 0.7010
-1.5322 4.2577 4.8776
-3.4414 1.1357 6.8540
0.6343 4.6432 2.6774
2.8194 5.9440 0.8247
-1.2563 11.3927 5.0012
0.2047 2.2397 4.0097
-3.8710 3.5392 8.1862
3.9833 8.0186 0.1669
-0.0924 9.3181 4.3434
1.3686 0.1651 3.3519
-2.7071 5.6138 7.5285
-0.5220 6.9146 5.6757
3.5537 10.4221 1.4991
1.6446 7.3001 3.4755
-2.4311 10.0366 7.6521
-1.4381 2.7826 7.4619
2.6376 2.9963 3.2853
5.4507 1.3873 1.1221
1.3750 4.3916 5.2986
4.2119 7.7157 3.0084
0.1362 9.6210 7.1849
6.9778 7.9546 0.5474
2.9021 9.3820 4.7240
3.0100 0.4765 4.8469
7.0857 5.3024 0.6704
0.8915 0.9950 7.0895
4.9672 4.7839 2.9130
```


This entry pairs a crystal structure of Mn2Bi2O5 with its computed powder diffraction line list. Radiation: Cu Kα (weighted mean of Kα1 and Kα2). Structure: a crystal structure in the Materials Project, relaxed with GGA+U.
Neutral-atom scattering factors, no anomalous dispersion.

Largest 12 diffraction maxima, in order of rising 2θ, 2θ = 5–70°:
d_spacing	2θ/deg	I_rel	hkl
4.507	19.70	20	0 2 -1
3.984	22.31	15	2 -2 1
3.017	29.61	57	1 -1 3
2.997	29.81	100	-2 2 2
2.933	30.48	44	0 3 -2
2.873	31.13	15	1 2 -3
2.763	32.41	33	3 -3 1
2.711	33.04	28	1 2 1
2.346	38.37	26	2 1 -4
1.961	46.30	17	4 -1 2
1.910	47.61	15	2 -5 0
1.632	56.38	15	2 1 4

Structural model:
```
Mn2Bi2O5
1.0
9.9855 0.0000 0.0000
-4.3287 9.0387 0.0000
-1.3538 -3.8219 9.3530
Mn Bi O
12 12 30
Cartesian
-1.8421 1.2655 4.2145
-1.0652 -1.3797 6.2316
-3.7846 5.2459 8.3099
1.7461 0.7556 2.5629
0.8172 1.6727 6.2443
-0.7682 4.4483 7.7753
5.0712 0.7685 1.5777
3.4857 3.5441 3.1086
2.5568 4.4612 6.7901
8.0876 -0.0291 1.0431
5.3682 6.5965 3.1214
6.1451 3.9513 5.1385
-2.6705 1.7156 7.5312
0.2371 2.7943 0.5847
-1.1098 6.9812 1.6524
2.2488 -2.0645 5.2902
0.1447 3.9852 4.0170
2.0742 -0.8146 8.6491
2.2288 6.0314 0.7039
4.1583 1.2316 5.3360
2.0542 7.2813 4.0628
5.4128 -1.7644 7.7006
4.0659 2.4226 8.7683
6.9735 3.5012 1.8218
-2.6657 6.0438 0.6144
-4.0418 6.1936 5.3219
0.0113 0.8518 1.2814
-1.9657 3.5369 3.9847
-1.1049 0.8348 6.3010
-2.7499 3.8384 7.0165
-0.0787 -1.6696 8.1706
-2.7023 7.6807 3.1807
0.5958 1.9117 4.0753
-1.1020 2.6676 8.9774
3.0830 -0.1315 0.8243
2.5394 -2.6718 7.6290
1.8767 -0.1777 6.1586
2.4345 2.8131 1.3666
0.4787 3.9757 6.0974
3.8243 1.2411 3.2556
1.8685 2.4037 7.9863
2.4263 5.3946 3.1944
1.7636 7.8886 1.7239
1.2200 5.3483 8.5287
5.4050 2.5492 0.3756
3.7072 3.3051 5.2777
7.0052 -2.4639 6.1723
4.3817 6.8864 1.1824
7.0529 1.3784 2.3364
5.4079 4.3820 3.0520
6.2687 1.6800 5.3683
4.2917 4.3651 8.0716
8.3448 -0.9768 4.0310
6.9687 -0.8270 8.7386
```


This entry pairs a crystal structure of Mn7As2O16 with its computed powder diffraction line list. Radiation: Cu Kα (weighted mean of Kα1 and Kα2). Structure: a crystal structure in the Materials Project, relaxed with GGA+U.
Neutral-atom scattering factors, no anomalous dispersion.

Largest 12 diffraction maxima, in order of rising 2θ, 2θ = 5–70°:
d_spacing	2θ/deg	I_rel	hkl
3.845	23.14	22	1 2 -1
3.547	25.10	53	1 1 1
3.514	25.35	29	1 2 -2
3.294	27.07	43	1 1 -3
3.180	28.06	53	0 1 3
3.132	28.50	54	1 2 1
2.906	30.77	100	1 3 -2
2.773	32.28	45	0 4 1
2.483	36.18	38	0 0 4
2.211	40.81	24	1 4 -3
1.734	52.81	30	1 4 -5
1.476	62.98	33	3 4 -3

Structural model:
```
Mn7As2O16
1.0
5.1679 0.0000 0.0000
0.0000 11.5533 0.0000
-4.3609 0.0000 9.9224
Mn As O
14 4 32
Cartesian
0.0000 0.0000 0.0000
-2.1804 5.7767 4.9612
-3.1977 2.0479 7.8091
-1.0173 3.7288 2.8479
-3.0754 8.2495 9.9176
-0.8949 9.0805 4.9564
-0.8155 0.9106 4.9941
1.3649 4.8661 0.0329
-0.5579 6.6872 9.8895
1.6226 10.6428 4.9283
1.7020 2.4729 4.9660
3.8824 3.3038 0.0048
1.8244 7.8245 7.0745
4.0048 9.5054 2.1133
0.5521 6.6276 2.8842
-1.6283 10.7024 7.8454
2.4354 0.8509 2.0770
0.2549 4.9257 7.0382
-2.0174 2.0132 6.1961
0.1630 3.7634 1.2349
-1.8403 7.5744 5.7927
0.3401 9.7556 0.8315
0.4037 6.5252 1.1344
-1.7767 10.8048 6.0956
-0.2058 8.1236 3.2092
-2.3863 9.2064 8.1704
-2.5555 0.3720 8.6317
-0.3750 5.4047 3.6705
0.8302 0.8363 1.5815
-1.3503 4.9404 6.5427
-2.2271 6.6017 9.0105
-0.0466 10.7282 4.0493
-0.0086 2.4120 4.0396
-2.1891 3.3647 9.0008
2.9961 8.1887 0.9216
0.8157 9.1413 5.8828
0.8537 0.8251 5.8731
3.0341 4.9516 0.9119
2.1573 6.6129 3.3797
-0.0231 10.7171 8.3409
1.1821 6.1486 6.2519
3.3626 11.1814 1.2907
3.1933 2.3470 1.7520
1.0129 3.4297 6.7132
2.5838 0.7485 3.8268
0.4034 5.0282 8.7880
0.4670 1.7977 9.0909
2.6474 3.9789 4.1297
0.6441 7.7899 8.6875
2.8245 9.5401 3.7263
```


This entry pairs a crystal structure of Mn2O3F with its computed powder diffraction line list. Radiation: Cu Kα (weighted mean of Kα1 and Kα2). Structure: a crystal structure in the Materials Project, relaxed with GGA+U.
Neutral-atom scattering factors, no anomalous dispersion.

Largest 12 diffraction maxima, in order of rising 2θ, 2θ = 5–70°:
d_spacing	2θ/deg	I_rel	hkl
3.260	27.36	89	1 0 2
3.202	27.86	93	1 0 -2
2.525	35.56	100	0 2 -1
2.284	39.45	15	0 0 4
2.219	40.66	17	1 -2 1
1.702	53.87	39	1 -2 3
1.686	54.43	54	1 2 -3
1.630	56.46	15	2 0 4
1.601	57.57	15	2 0 -4
1.515	61.19	17	0 4 2
1.362	68.97	18	-3 2 1
1.360	69.08	19	0 2 7

Structural model:
```
Mn2O3F
1.0
4.5735 0.0000 0.0000
0.0005 6.0590 0.0000
0.1631 3.0172 9.1291
Mn O F
8 12 4
Cartesian
0.0000 0.0000 0.0000
0.2007 6.0881 9.0980
2.2635 7.5999 6.7334
2.3551 4.5255 2.2184
2.4987 4.5371 6.9583
2.4508 1.5854 2.3096
4.5058 6.0799 4.6061
4.6008 3.0343 4.5102
0.9338 7.5821 5.3826
0.8828 4.5647 0.8735
1.5174 3.0392 7.7046
1.5240 6.0685 7.6895
1.4840 3.0523 3.1397
3.2221 6.0586 5.9809
3.2491 3.0507 5.9617
3.1886 6.0831 1.4113
3.2148 3.0577 1.3689
3.7317 1.5378 3.6584
3.7420 4.5642 3.6629
3.8501 4.5523 8.2862
1.0149 4.5448 5.4864
0.9919 1.5245 0.9929
1.4254 6.0620 3.2024
3.6981 7.5805 8.1131
```


This entry pairs a crystal structure of CuMoO4 with its computed powder diffraction line list. Radiation: Cu Kα (weighted mean of Kα1 and Kα2). Structure: a crystal structure in the Materials Project, relaxed with GGA+U.
Neutral-atom scattering factors, no anomalous dispersion.

Largest 12 diffraction maxima, in order of rising 2θ, 2θ = 5–70°:
d_spacing	2θ/deg	I_rel	hkl
5.348	16.58	12	1 1 0
4.893	18.13	15	1 1 1
4.444	19.98	25	0 2 0
4.012	22.16	35	1 1 -2
3.541	25.15	43	1 2 1
3.225	27.66	17	1 1 3
3.033	29.45	100	0 0 4
2.878	31.07	17	0 3 1
2.731	32.79	14	1 2 3
2.473	36.33	8	1 3 2
1.916	47.46	9	2 1 5
1.496	62.05	9	3 0 6

Structural model:
```
CuMoO4
1.0
6.6955 0.0000 0.0000
0.0000 8.8886 0.0000
-0.0376 0.0000 12.1338
Cu Mo O
8 8 32
Cartesian
0.8373 0.4014 4.6818
0.8185 4.0429 10.7487
1.8885 5.8687 4.6048
1.8696 7.4642 10.6717
4.7882 1.4244 1.4621
4.7694 3.0199 7.5290
5.8394 4.8457 1.3851
5.8205 8.4872 7.4520
0.6179 5.3134 7.7767
0.6367 8.0195 1.7098
2.6210 0.4463 7.7991
2.6398 3.9979 1.7321
4.0180 4.8906 10.4017
4.0368 8.4422 4.3348
6.0211 0.8691 10.4240
6.0399 3.5752 4.3571
0.0812 5.2255 4.5343
0.0624 8.1074 10.6012
0.5291 2.1214 10.7803
0.5479 2.3228 4.7134
0.9805 0.0163 7.0995
0.9993 4.4280 1.0326
1.2116 5.5674 9.5280
1.2305 7.7655 3.4610
1.9414 5.5273 6.6059
1.9602 7.8055 0.5390
2.4713 0.1333 9.5408
2.4901 4.3110 3.4739
2.7317 0.6576 4.9578
2.7129 3.7867 11.0247
3.0505 2.1816 7.5753
3.0693 2.2627 1.5084
3.5886 6.6259 10.6255
3.6074 6.7070 4.5585
3.9449 5.1019 1.1091
3.9261 8.2310 7.1760
4.1677 4.5775 8.6599
4.1865 8.7553 2.5930
4.6976 1.0830 11.5948
4.7164 3.3613 5.5279
5.4274 1.1231 8.6728
5.4462 3.3212 2.6059
5.6585 4.4605 11.1012
5.6773 8.8723 5.0343
6.1099 6.5657 7.4204
6.1287 6.7671 1.3535
6.5954 0.7812 1.5326
6.5766 3.6631 7.5995
```